No. 1
This entry pairs a crystal structure of SiO2He with its computed powder diffraction line list. Radiation: Cu Kα (λ = 1.5418 Å). Structure: DFT lattice parameters and positions (GGA-PBE).
Peak positions follow from Bragg's law for the DFT cell and can differ from measured ones.

Structure:
a = 5.1911 Å, b = 5.1911 Å, c = 25.9300 Å
α = 90.00°, β = 90.00°, γ = 120.00°
Space group R-3c (No. 167, hexagonal axes)
Unique sites:
1 Si 0.0000 0.0000 0.0624
2 O 0.0000 0.0000 0.0000
3 O 0.0000 0.4439 0.2500
4 He 0.0000 0.0000 0.1800

Principal peaks in the range 15° ≤ 2θ ≤ 90°, most intense first:
Position (°2θ), I/Imax
20.91, 100
20.55, 35
34.10, 23
34.56, 22
54.46, 10
42.57, 9
71.81, 7
61.63, 7

No. 2
This entry pairs a crystal structure of SiO2He with its computed powder diffraction line list. Radiation: Cu Kα (λ = 1.5418 Å). Structure: DFT lattice parameters and positions (GGA-PBE).
Peak positions follow from Bragg's law for the DFT cell and can differ from measured ones.

Structure:
a = 9.000 Å, b = 5.195 Å, c = 10.488 Å
α = 90.00°, β = 124.64°, γ = 90.00°
Space group P2_1/c (No. 14)
Unique sites:
1 Si 0.125 0.196 0.316
2 Si 0.375 0.200 0.691
3 O 0.025 0.578 0.748
4 O 0.241 0.189 0.504
5 O 0.259 0.244 0.262
6 O 0.475 0.576 0.256
7 He 0.123 0.693 0.543
8 He 0.369 0.697 0.456

Principal peaks in the range 15° ≤ 2θ ≤ 90°, most intense first:
Position (°2θ), I/Imax
20.90, 100
20.59, 37
34.53, 18
34.10, 15
26.42, 10
34.20, 8
42.55, 7
54.42, 6

No. 3
This entry pairs a crystal structure of Hf with its computed powder diffraction line list. Radiation: Cu Kα (λ = 1.5418 Å). Structure: DFT lattice parameters and positions (GGA-PBE).
Peak positions follow from Bragg's law for the DFT cell and can differ from measured ones.

Structure:
a = 3.1985 Å, b = 3.1985 Å, c = 5.0752 Å
α = 90.00°, β = 90.00°, γ = 120.00°
Space group P6_3/mmc (No. 194)
Unique sites:
1 Hf 0.3333 0.6667 0.2500

Principal peaks in the range 15° ≤ 2θ ≤ 90°, most intense first:
Position (°2θ), I/Imax
36.97, 100
35.37, 25
32.32, 24
69.47, 21
64.55, 20
57.64, 19
48.66, 15
70.48, 15

No. 4
This entry pairs a crystal structure of Hf with its computed powder diffraction line list. Radiation: Cu Kα (λ = 1.5418 Å). Structure: DFT lattice parameters and positions (GGA-PBE).
Peak positions follow from Bragg's law for the DFT cell and can differ from measured ones.

Structure:
a = 3.542 Å, b = 3.542 Å, c = 3.542 Å
α = 90.00°, β = 90.00°, γ = 90.00°
Space group Im-3m (No. 229)
Unique sites:
1 Hf 0.000 0.000 0.000

Principal peaks in the range 15° ≤ 2θ ≤ 90°, most intense first:
Position (°2θ), I/Imax
35.86, 100
64.44, 37
51.61, 18
87.00, 17
76.00, 12

No. 5
This entry pairs a crystal structure of Hf with its computed powder diffraction line list. Radiation: Cu Kα (λ = 1.5418 Å). Structure: DFT lattice parameters and positions (GGA-PBE).
Peak positions follow from Bragg's law for the DFT cell and can differ from measured ones.

Structure:
a = 4.481 Å, b = 4.481 Å, c = 4.481 Å
α = 90.00°, β = 90.00°, γ = 90.00°
Space group Fm-3m (No. 225)
Unique sites:
1 Hf 0.000 0.000 0.000

Principal peaks in the range 15° ≤ 2θ ≤ 90°, most intense first:
Position (°2θ), I/Imax
34.67, 100
40.25, 50
69.58, 40
58.23, 34
73.15, 12
86.96, 6

No. 6
This entry pairs a crystal structure of Hf with its computed powder diffraction line list. Radiation: Cu Kα (λ = 1.5418 Å). Structure: DFT lattice parameters and positions (GGA-PBE).
Peak positions follow from Bragg's law for the DFT cell and can differ from measured ones.

Structure:
a = 5.0036 Å, b = 5.0036 Å, c = 3.0873 Å
α = 90.00°, β = 90.00°, γ = 120.00°
Space group P6/mmm (No. 191)
Unique sites:
1 Hf 0.0000 0.0000 0.0000
2 Hf 0.3333 0.6667 0.5000

Principal peaks in the range 15° ≤ 2θ ≤ 90°, most intense first:
Position (°2θ), I/Imax
35.89, 100
35.71, 90
64.39, 33
51.53, 32
71.86, 27
64.51, 18
87.00, 15
76.09, 11

No. 7
This entry pairs a crystal structure of HfHgO3 with its computed powder diffraction line list. Radiation: Cu Kα (λ = 1.5418 Å). Structure: DFT lattice parameters and positions (GGA-PBE).
Peak positions follow from Bragg's law for the DFT cell and can differ from measured ones.

Structure:
a = 4.123 Å, b = 4.123 Å, c = 4.123 Å
α = 90.00°, β = 90.00°, γ = 90.00°
Space group Pm-3m (No. 221)
Unique sites:
1 Hf 0.000 0.000 0.000
2 Hg 0.500 0.500 0.500
3 O 0.000 0.000 0.500

Principal peaks in the range 15° ≤ 2θ ≤ 90°, most intense first:
Position (°2θ), I/Imax
30.67, 100
54.52, 41
43.92, 26
88.80, 23
72.50, 18
63.86, 17
80.75, 6
37.80, 2

No. 8
This entry pairs a crystal structure of Ho2Hf2O7 with its computed powder diffraction line list. Radiation: Cu Kα (λ = 1.5418 Å). Structure: DFT lattice parameters and positions (GGA-PBE).
Peak positions follow from Bragg's law for the DFT cell and can differ from measured ones.

Structure:
a = 10.478 Å, b = 10.478 Å, c = 10.478 Å
α = 90.00°, β = 90.00°, γ = 90.00°
Space group Fd-3m (No. 227, origin choice 2)
Unique sites:
1 Ho 0.000 0.000 0.000
2 Hf 0.000 0.000 0.500
3 O 0.089 0.375 0.875
4 O 0.125 0.125 0.125

Principal peaks in the range 15° ≤ 2θ ≤ 90°, most intense first:
Position (°2θ), I/Imax
29.53, 100
49.19, 46
58.42, 44
34.23, 36
79.79, 18
82.31, 15
61.29, 11
72.12, 7

No. 9
This entry pairs a crystal structure of Ho2Hf2O5 with its computed powder diffraction line list. Radiation: Cu Kα (λ = 1.5418 Å). Structure: DFT lattice parameters and positions (GGA-PBE).
Peak positions follow from Bragg's law for the DFT cell and can differ from measured ones.

Structure:
a = 4.096 Å, b = 4.096 Å, c = 7.447 Å
α = 90.00°, β = 90.00°, γ = 90.00°
Space group P4/mmm (No. 123)
Unique sites:
1 Ho 0.000 0.000 0.000
2 Ho 0.000 0.000 0.500
3 Hf 0.500 0.500 0.220
4 O 0.000 0.500 0.261
5 O 0.500 0.500 0.500

Principal peaks in the range 15° ≤ 2θ ≤ 90°, most intense first:
Position (°2θ), I/Imax
32.50, 100
30.87, 55
55.94, 44
44.22, 30
58.98, 14
68.05, 12
73.05, 10
73.94, 10

No. 10
This entry pairs a crystal structure of Ho2HfS5 with its computed powder diffraction line list. Radiation: Cu Kα (λ = 1.5418 Å). Structure: DFT lattice parameters and positions (GGA-PBE).
Peak positions follow from Bragg's law for the DFT cell and can differ from measured ones.

Structure:
a = 11.540 Å, b = 7.713 Å, c = 7.244 Å
α = 90.00°, β = 90.00°, γ = 90.00°
Space group Pnma (No. 62)
Unique sites:
1 Ho 0.179 0.003 0.021
2 Hf 0.006 0.750 0.577
3 S 0.004 0.750 0.948
4 S 0.094 0.037 0.661
5 S 0.181 0.750 0.332
6 S 0.207 0.250 0.310

Principal peaks in the range 15° ≤ 2θ ≤ 90°, most intense first:
Position (°2θ), I/Imax
26.23, 100
27.31, 67
37.46, 65
27.83, 61
24.58, 49
47.60, 47
39.01, 31
47.13, 29

No. 11
This entry pairs a crystal structure of Hf3I with its computed powder diffraction line list. Radiation: Cu Kα (λ = 1.5418 Å). Structure: DFT lattice parameters and positions (GGA-PBE).
Peak positions follow from Bragg's law for the DFT cell and can differ from measured ones.

Structure:
a = 6.2507 Å, b = 6.2507 Å, c = 5.3328 Å
α = 90.00°, β = 90.00°, γ = 120.00°
Space group P6_3/mmc (No. 194)
Unique sites:
1 Hf 0.1615 0.3230 0.2500
2 I 0.3333 0.6667 0.7500

Principal peaks in the range 15° ≤ 2θ ≤ 90°, most intense first:
Position (°2θ), I/Imax
37.25, 100
33.61, 30
33.10, 23
62.51, 22
69.75, 21
59.12, 17
47.89, 16
71.99, 14

No. 12
This entry pairs a crystal structure of HfI4 with its computed powder diffraction line list. Radiation: Cu Kα (λ = 1.5418 Å). Structure: DFT lattice parameters and positions (GGA-PBE).
Peak positions follow from Bragg's law for the DFT cell and can differ from measured ones.

Structure:
a = 12.579 Å, b = 12.495 Å, c = 13.294 Å
α = 90.00°, β = 115.05°, γ = 90.00°
Space group C2/c (No. 15)
Unique sites:
1 Hf 0.074 0.134 0.124
2 I 0.049 0.350 0.110
3 I 0.059 0.109 0.612
4 I 0.159 0.113 0.361
5 I 0.206 0.378 0.864

Principal peaks in the range 15° ≤ 2θ ≤ 90°, most intense first:
Position (°2θ), I/Imax
28.42, 100
28.58, 97
29.67, 93
41.66, 66
24.49, 66
40.75, 63
25.42, 61
15.98, 47

What did the seventh record say?
This entry pairs a crystal structure of HfHgO3 with its computed powder diffraction line list. Radiation: Cu Kα (λ = 1.5418 Å). Structure: DFT lattice parameters and positions (GGA-PBE).
Peak positions follow from Bragg's law for the DFT cell and can differ from measured ones.

Structure:
a = 4.123 Å, b = 4.123 Å, c = 4.123 Å
α = 90.00°, β = 90.00°, γ = 90.00°
Space group Pm-3m (No. 221)
Unique sites:
1 Hf 0.000 0.000 0.000
2 Hg 0.500 0.500 0.500
3 O 0.000 0.000 0.500

Principal peaks in the range 15° ≤ 2θ ≤ 90°, most intense first:
Position (°2θ), I/Imax
30.67, 100
54.52, 41
43.92, 26
88.80, 23
72.50, 18
63.86, 17
80.75, 6
37.80, 2

Copy entry 3 word for word.
This entry pairs a crystal structure of Hf with its computed powder diffraction line list. Radiation: Cu Kα (λ = 1.5418 Å). Structure: DFT lattice parameters and positions (GGA-PBE).
Peak positions follow from Bragg's law for the DFT cell and can differ from measured ones.

Structure:
a = 3.1985 Å, b = 3.1985 Å, c = 5.0752 Å
α = 90.00°, β = 90.00°, γ = 120.00°
Space group P6_3/mmc (No. 194)
Unique sites:
1 Hf 0.3333 0.6667 0.2500

Principal peaks in the range 15° ≤ 2θ ≤ 90°, most intense first:
Position (°2θ), I/Imax
36.97, 100
35.37, 25
32.32, 24
69.47, 21
64.55, 20
57.64, 19
48.66, 15
70.48, 15